TeMoWS3: simulated XRD peak list (Cu Kα (λ = 1.5418 Å)), based on the GGA-PBE geometry in the Materials Project.
Intensities are scaled so that the largest is 100.

Main lines, by intensity (2θ from 15° to 90°):
Position (°2θ)  d_spacing  I (rel.)  hkl
37.2  2.417  100  1 0 8
31.6  2.829  68  1 0 0
45.1  2.011  47  0 1 13
56.3  1.634  33  1 1 0
38.6  2.335  22  1 0 9
36.0  2.498  20  0 1 7
33.9  2.646  20  1 0 5
19.1  4.641  17  0 0 8

Cell and atoms:
Lattice parameters (Å, degrees): 3.2698 3.2698 37.1313 90.00 90.00 120.00
Space group P3m1 (No. 156)
One atom of each set of equivalent atoms:
1 Te 0.0000 0.0000 0.0000 [1 per cell]
2 Te 0.0000 0.0000 0.1036 [1 per cell]
3 Mo 0.6667 0.3333 0.0518 [1 per cell]
4 Mo 0.6667 0.3333 0.6761 [1 per cell]
5 W 0.0000 0.0000 0.2397 [1 per cell]
6 W 0.0000 0.0000 0.8639 [1 per cell]
7 S 0.0000 0.0000 0.6346 [1 per cell]
8 S 0.0000 0.0000 0.7175 [1 per cell]
9 S 0.6667 0.3333 0.1981 [1 per cell]
10 S 0.6667 0.3333 0.2813 [1 per cell]
11 S 0.6667 0.3333 0.8223 [1 per cell]
12 S 0.6667 0.3333 0.9055 [1 per cell]


Te4MoW2S2: simulated XRD peak list (Cu Kα (λ = 1.5418 Å)), based on the GGA-PBE geometry in the Materials Project.
Intensities are scaled so that the largest is 100.

Main lines, by intensity (2θ from 15° to 90°):
Position (°2θ)  d_spacing  I (rel.)  hkl
36.2  2.483  100  1 0 7
34.7  2.588  84  0 1 6
43.8  2.069  60  1 0 11
53.5  1.712  56  1 1 0
30.1  2.967  45  1 0 0
41.7  2.168  45  0 1 10
30.3  2.954  27  0 1 1
75.3  1.262  22  1 1 17

Cell and atoms:
Lattice parameters (Å, degrees): 3.4255 3.4255 31.7596 90.00 90.00 120.00
Space group P3m1 (No. 156)
One atom of each set of equivalent atoms:
1 Te 0.0000 0.0000 0.0000 [1 per cell]
2 Te 0.0000 0.0000 0.1179 [1 per cell]
3 Te 0.3333 0.6667 0.2317 [1 per cell]
4 Te 0.3333 0.6667 0.3495 [1 per cell]
5 Mo 0.0000 0.0000 0.8278 [1 per cell]
6 W 0.0000 0.0000 0.2906 [1 per cell]
7 W 0.3333 0.6667 0.0589 [1 per cell]
8 S 0.3333 0.6667 0.7807 [1 per cell]
9 S 0.3333 0.6667 0.8749 [1 per cell]